Pr2Sc2CBrCl4: calculated XRD peak list (Cu Kα X-rays), based on the GGA-PBE geometry in OQMD.
No peak broadening, texture or thermal motion is included.

Peak list (12 most intense, 2θ from 15° to 90°, low angle first)
2theta, intensity
21.4, 33
24.5, 26
31.7, 100
32.3, 50
33.3, 22
33.7, 17
35.9, 20
36.2, 26
39.5, 28
45.3, 27
46.4, 27
48.9, 18

Crystal structure
Cell: 8.739 8.739 8.655 Å, 102.50 102.50 24.62°
Element x y z (fractional)
1 Pr 0.001 0.001 0.294
2 Pr 0.999 0.999 0.706
3 Sc 0.364 0.364 0.436
4 Sc 0.636 0.636 0.564
5 C 0.500 0.500 0.500
6 Br 0.500 0.500 0.000
7 Cl 0.170 0.170 0.777
8 Cl 0.174 0.174 0.379
9 Cl 0.826 0.826 0.621
10 Cl 0.830 0.830 0.223